Diffraction record for Fe4W5. The XRD peak list is computed, not measured: it uses the PBE geometry in Alexandria and CuKα.
Lines closer than 0.1° are merged.

The 10 most intense peaks (2θ from 10° to 90°), in order of falling intensity:
| two_theta | intensity | index |
| --- | --- | --- |
| 43.33 | 100 | 1 1 2 |
| 41.18 | 90 | 3 0 0 |
| 40.53 | 46 | 2 1 1 |
| 29.54 | 45 | 1 1 1 |
| 61.31 | 28 | 2 2 2 |
| 76.54 | 19 | 4 1 2 |
| 36.13 | 15 | 2 1 0 |
| 68.27 | 12 | 4 0 2 |
| 84.22 | 12 | 5 1 1 |
| 64.51 | 11 | 3 2 1 |

Cell and atoms:
```
data_Fe4W5
_chemical_formula_sum 'Fe8 W10'
_cell_length_a 7.5945
_cell_length_b 7.5945
_cell_length_c 5.0006
_cell_angle_alpha 90.00
_cell_angle_beta 90.00
_cell_angle_gamma 120.00
_symmetry_space_group_name_H-M 'P 63/m c m'
_symmetry_Int_Tables_number 193
_symmetry_space_group_name_Hall '-P 6c 2'
loop_
_atom_site_label
_atom_site_fract_x
_atom_site_fract_y
_atom_site_fract_z
_atom_site_occupancy
Fe1 0.0000 0.0000 0.0000 1
Fe2 0.0000 0.3932 0.2500 1
W1 0.0000 0.2835 0.7500 1
W2 0.3333 0.6667 0.0000 1
```

---

Diffraction record for Fe5W. The XRD peak list is computed, not measured: it uses the PBE geometry in Alexandria and CuKα.
Lines closer than 0.1° are merged.

The 10 most intense peaks (2θ from 10° to 90°), in order of falling intensity:
| two_theta | intensity | index |
| --- | --- | --- |
| 43.69 | 100 | 1 3 1 |
| 74.65 | 19 | 2 6 0 |
| 50.43 | 16 | 0 6 0 |
| 51.06 | 16 | 2 0 0 |
| 16.33 | 15 | 0 2 0 |
| 51.17 | 15 | 0 0 2 |
| 26.23 | 13 | 1 1 0 |
| 36.51 | 12 | 1 1 1 |
| 75.20 | 9 | 2 0 2 |
| 29.96 | 9 | 0 2 1 |

Cell and atoms:
```
data_Fe5W
_chemical_formula_sum 'Fe10 W2'
_cell_length_a 3.5773
_cell_length_b 10.8574
_cell_length_c 3.5700
_cell_angle_alpha 90.00
_cell_angle_beta 90.00
_cell_angle_gamma 90.00
_symmetry_space_group_name_H-M 'C m m m'
_symmetry_Int_Tables_number 65
_symmetry_space_group_name_Hall '-C 2 2'
loop_
_atom_site_label
_atom_site_fract_x
_atom_site_fract_y
_atom_site_fract_z
_atom_site_occupancy
Fe1 0.0000 0.0000 0.0000 1
Fe2 0.0000 0.1710 0.5000 1
Fe3 0.0000 0.3289 0.0000 1
W1 0.0000 0.5000 0.5000 1
```

---

Diffraction record for YFe10W2. The XRD peak list is computed, not measured: it uses the PBE geometry in Alexandria and CuKα.
Lines closer than 0.1° are merged.

The 10 most intense peaks (2θ from 10° to 90°), in order of falling intensity:
| two_theta | intensity | index |
| --- | --- | --- |
| 42.47 | 100 | 1 2 3 |
| 21.53 | 70 | 1 1 0 |
| 43.91 | 65 | 2 2 0 |
| 14.59 | 61 | 0 1 1 |
| 36.90 | 59 | 1 3 0 |
| 47.54 | 55 | 1 1 4 |
| 36.60 | 55 | 1 0 3 |
| 42.35 | 49 | 0 4 0 |
| 48.96 | 47 | 2 2 2 |
| 38.22 | 35 | 2 0 0 |

Cell and atoms:
```
data_YFe10W2
_chemical_formula_sum 'Y2 Fe20 W4'
_cell_length_a 4.7095
_cell_length_b 8.5377
_cell_length_c 8.6329
_cell_angle_alpha 90.00
_cell_angle_beta 90.00
_cell_angle_gamma 90.00
_symmetry_space_group_name_H-M 'I m m m'
_symmetry_Int_Tables_number 71
_symmetry_space_group_name_Hall '-I 2 2'
loop_
_atom_site_label
_atom_site_fract_x
_atom_site_fract_y
_atom_site_fract_z
_atom_site_occupancy
Y1 0.0000 0.0000 0.0000 1
Fe1 0.0000 0.2785 0.5000 1
Fe2 0.0000 0.3585 0.0000 1
Fe3 0.0000 0.5000 0.2741 1
Fe4 0.2500 0.2500 0.2500 1
W1 0.0000 0.0000 0.3547 1
```